Calculated powder XRD pattern
Compound: BaV
Radiation: copper Kα
Structure: a crystal structure in Alexandria, relaxed with PBE
Peak positions follow from Bragg's law for the DFT cell and can differ from measured ones.

Peak list (10 most intense, 10 to 90 degrees two-theta, sorted by position)
2theta, I (rel.), index
10.87, 18, 1 1 0
20.89, 48, 1 0 1
24.45, 100, 3 1 0
26.06, 43, 2 1 1
30.40, 28, 3 0 1
34.25, 62, 3 2 1
34.85, 21, 2 4 0
37.74, 35, 1 4 1
39.39, 20, 0 0 2
46.91, 42, 3 1 2

Structural model:
```
data_BaV
_space_group_name_H-M_alt 'I 4/m'
_space_group_IT_number 87
_space_group_name_Hall '-I 4'
_cell_length_a 11.513
_cell_length_b 11.513
_cell_length_c 4.575
_cell_angle_alpha 90.00
_cell_angle_beta 90.00
_cell_angle_gamma 90.00
loop_
_atom_site_label
_atom_site_type_symbol
_atom_site_fract_x
_atom_site_fract_y
_atom_site_fract_z
Ba1 Ba 0.099 0.221 0.000
V1 V 0.026 0.416 0.500
```

=====

Calculated powder XRD pattern
Compound: In2C
Radiation: copper Kα
Structure: a crystal structure in Alexandria, relaxed with PBE
Peak positions follow from Bragg's law for the DFT cell and can differ from measured ones.

Peak list (10 most intense, 10 to 90 degrees two-theta, sorted by position)
2theta, I (rel.), index
31.17, 100, 0 1 2
34.85, 25, 0 0 6
37.26, 74, 1 0 4
51.19, 29, 1 1 0
56.17, 21, 0 1 8
61.16, 14, 2 0 2
63.42, 25, 1 1 6
65.00, 13, 0 2 4
83.73, 12, 1 2 2
87.17, 12, 2 1 4

Structural model:
```
data_In2C
_space_group_name_H-M_alt 'R -3 m'
_space_group_IT_number 166
_space_group_name_Hall '-R 3 2"'
_cell_length_a 3.5690
_cell_length_b 3.5690
_cell_length_c 15.4476
_cell_angle_alpha 90.00
_cell_angle_beta 90.00
_cell_angle_gamma 120.00
loop_
_atom_site_label
_atom_site_type_symbol
_atom_site_fract_x
_atom_site_fract_y
_atom_site_fract_z
In1 In 0.0000 0.0000 0.2481
C1 C 0.0000 0.0000 0.5000
```